# 1
For Cd4SnN4, a DFT-relaxed cell (GGA-PBE, the Materials Project) gives the computed X-ray powder pattern in this record (Cu Kα, 1.54184 Å).
No peak broadening, texture or thermal motion is included.

Main lines, by angle (10 to 80 degrees two-theta):
2θ = 31.55°, I = 100, (0 2 1); 2θ = 31.74°, I = 53, (2 0 0); 2θ = 32.03°, I = 46, (1 1 -2); 2θ = 35.47°, I = 45, (1 -1 2); 2θ = 35.68°, I = 39, (2 2 1); 2θ = 39.11°, I = 35, (-1 1 3); 2θ = 51.02°, I = 15, (3 1 3); 2θ = 61.26°, I = 19, (2 0 5); 2θ = 61.73°, I = 14, (0 2 -4); 2θ = 65.88°, I = 16, (2 2 6)

Structural model:
```
data_Cd4SnN4
_chemical_formula_sum 'Cd8 Sn2 N8'
_cell_length_a 6.078
_cell_length_b 6.108
_cell_length_c 8.938
_cell_angle_alpha 72.37
_cell_angle_beta 79.23
_cell_angle_gamma 68.60
_space_group_name_H-M_alt 'P 1'
_space_group_IT_number 1
_space_group_name_Hall 'P 1'
loop_
_atom_site_label
_atom_site_fract_x
_atom_site_fract_y
_atom_site_fract_z
Cd1 0.218 0.337 0.293
Cd2 0.244 0.578 0.912
Cd3 0.252 0.999 0.083
Cd4 0.253 0.735 0.503
Cd5 0.747 0.265 0.497
Cd6 0.748 0.001 0.917
Cd7 0.756 0.422 0.088
Cd8 0.782 0.663 0.707
Sn1 0.223 0.133 0.713
Sn2 0.777 0.867 0.287
N1 0.024 0.023 0.312
N2 0.055 0.355 0.868
N3 0.352 0.329 0.507
N4 0.451 0.834 0.875
N5 0.549 0.166 0.125
N6 0.648 0.671 0.493
N7 0.945 0.645 0.132
N8 0.976 0.977 0.688
```



# 2
For CdSnN2, a DFT-relaxed cell (GGA-PBE, the Materials Project) gives the computed X-ray powder pattern in this record (Cu Kα, 1.54184 Å).
No peak broadening, texture or thermal motion is included.

Main lines, by angle (10 to 80 degrees two-theta):
2θ = 28.59°, I = 31, (1 2 0); 2θ = 29.11°, I = 18, (2 0 0); 2θ = 30.75°, I = 45, (0 0 2); 2θ = 32.55°, I = 100, (1 2 1); 2θ = 33.02°, I = 44, (2 0 1); 2θ = 42.48°, I = 17, (1 2 2); 2θ = 51.29°, I = 25, (3 2 0); 2θ = 55.82°, I = 28, (1 2 3); 2θ = 61.00°, I = 25, (3 2 2); 2θ = 61.49°, I = 16, (2 4 1)

Structural model:
```
data_CdSnN2
_chemical_formula_sum 'Cd4 Sn4 N8'
_cell_length_a 6.134
_cell_length_b 7.256
_cell_length_c 5.815
_cell_angle_alpha 90.00
_cell_angle_beta 90.00
_cell_angle_gamma 90.00
_space_group_name_H-M_alt 'P 1'
_space_group_IT_number 1
_space_group_name_Hall 'P 1'
loop_
_atom_site_label
_atom_site_fract_x
_atom_site_fract_y
_atom_site_fract_z
Cd1 0.083 0.124 0.000
Cd2 0.417 0.624 0.500
Cd3 0.583 0.376 0.000
Cd4 0.917 0.876 0.500
Sn1 0.077 0.626 0.002
Sn2 0.423 0.126 0.502
Sn3 0.577 0.874 0.002
Sn4 0.923 0.374 0.502
N1 0.065 0.609 0.361
N2 0.098 0.141 0.396
N3 0.402 0.641 0.896
N4 0.435 0.109 0.861
N5 0.565 0.891 0.361
N6 0.598 0.359 0.396
N7 0.902 0.859 0.896
N8 0.935 0.391 0.861
```



# 3
For Cd7SnN6, a DFT-relaxed cell (GGA-PBE, the Materials Project) gives the computed X-ray powder pattern in this record (Cu Kα, 1.54184 Å).
No peak broadening, texture or thermal motion is included.

Main lines, by angle (10 to 80 degrees two-theta):
2θ = 29.41°, I = 15, (0 0 4); 2θ = 29.59°, I = 38, (4 0 0); 2θ = 30.34°, I = 27, (1 0 4); 2θ = 32.11°, I = 26, (1 2 2); 2θ = 33.01°, I = 23, (2 0 4); 2θ = 33.56°, I = 13, (4 1 1); 2θ = 34.65°, I = 100, (2 2 2); 2θ = 53.31°, I = 20, (0 2 6); 2θ = 55.83°, I = 15, (6 2 2); 2θ = 62.15°, I = 14, (4 2 6)

Structural model:
```
data_Cd7SnN6
_chemical_formula_sum 'Cd28 Sn4 N24'
_cell_length_a 12.074
_cell_length_b 6.499
_cell_length_c 12.150
_cell_angle_alpha 90.00
_cell_angle_beta 90.00
_cell_angle_gamma 90.00
_space_group_name_H-M_alt 'P 1'
_space_group_IT_number 1
_space_group_name_Hall 'P 1'
loop_
_atom_site_label
_atom_site_fract_x
_atom_site_fract_y
_atom_site_fract_z
Cd1 0.000 0.010 0.250
Cd2 0.000 0.990 0.750
Cd3 0.028 0.227 0.003
Cd4 0.028 0.773 0.503
Cd5 0.224 0.236 0.319
Cd6 0.224 0.764 0.819
Cd7 0.227 0.486 0.560
Cd8 0.227 0.514 0.060
Cd9 0.273 0.014 0.060
Cd10 0.273 0.986 0.560
Cd11 0.276 0.264 0.819
Cd12 0.276 0.736 0.319
Cd13 0.472 0.273 0.503
Cd14 0.472 0.727 0.003
Cd15 0.500 0.490 0.750
Cd16 0.500 0.510 0.250
Cd17 0.528 0.273 0.997
Cd18 0.528 0.727 0.497
Cd19 0.724 0.264 0.681
Cd20 0.724 0.736 0.181
Cd21 0.727 0.014 0.440
Cd22 0.727 0.986 0.940
Cd23 0.773 0.486 0.940
Cd24 0.773 0.514 0.440
Cd25 0.776 0.236 0.181
Cd26 0.776 0.764 0.681
Cd27 0.972 0.227 0.497
Cd28 0.972 0.773 0.997
Sn1 0.000 0.480 0.750
Sn2 0.000 0.520 0.250
Sn3 0.500 0.020 0.250
Sn4 0.500 0.980 0.750
N1 0.094 0.260 0.834
N2 0.094 0.740 0.334
N3 0.107 0.303 0.173
N4 0.107 0.697 0.673
N5 0.153 0.205 0.489
N6 0.153 0.795 0.989
N7 0.347 0.295 0.989
N8 0.347 0.705 0.489
N9 0.393 0.197 0.673
N10 0.393 0.803 0.173
N11 0.406 0.240 0.334
N12 0.406 0.760 0.834
N13 0.594 0.240 0.166
N14 0.594 0.760 0.666
N15 0.607 0.197 0.827
N16 0.607 0.803 0.327
N17 0.653 0.295 0.511
N18 0.653 0.705 0.011
N19 0.847 0.205 0.011
N20 0.847 0.795 0.511
N21 0.893 0.303 0.327
N22 0.893 0.697 0.827
N23 0.906 0.260 0.666
N24 0.906 0.740 0.166
```